(1)
# CeB3C2
Computed powder X-ray diffraction pattern, λ = 1.5418 Å (Cu Kα). Input: DFT lattice parameters and positions (PBE).

Main lines, low angle first (2θ = 10–90°):
- 2θ 17.5, 5.065 Å, I 15, hkl 0 0 1
- 2θ 19.1, 4.635 Å, I 55, hkl 1 0 0
- 2θ 26.1, 3.419 Å, I 100, hkl 1 0 1
- 2θ 33.5, 2.676 Å, I 53, hkl 1 1 0
- 2θ 38.0, 2.366 Å, I 53, hkl 1 1 1
- 2θ 40.6, 2.222 Å, I 59, hkl 1 0 2
- 2θ 42.9, 2.107 Å, I 39, hkl 0 2 1
- 2θ 53.6, 1.710 Å, I 17, hkl 2 0 2
- 2θ 55.5, 1.656 Å, I 26, hkl 2 1 1
- 2θ 58.2, 1.586 Å, I 13, hkl 0 1 3
- 2θ 64.7, 1.441 Å, I 28, hkl 2 1 2
- 2θ 84.5, 1.146 Å, I 14, hkl 1 3 2

Cell and atoms:
abc: 5.3522 5.3522 5.0649
angles: 90.00 90.00 120.00
Space group P-3m1 (No. 164)
Unique sites:
1 Ce 0.3333 0.6667 0.1155
2 B 0.1741 0.3481 0.6172
3 C 0.0000 0.0000 0.5000
4 C 0.0000 0.5000 0.5000


(2)
# Ce3Ni2B2C3
Computed powder X-ray diffraction pattern, λ = 1.5418 Å (Cu Kα). Input: DFT lattice parameters and positions (PBE).

Main lines, low angle first (2θ = 10–90°):
- 2θ 27.6, 3.228 Å, I 100, hkl 1 0 3
- 2θ 32.9, 2.721 Å, I 60, hkl 1 0 5
- 2θ 34.5, 2.600 Å, I 33, hkl 1 1 0
- 2θ 35.5, 2.528 Å, I 43, hkl 0 0 8
- 2θ 35.7, 2.518 Å, I 35, hkl 1 1 2
- 2θ 39.0, 2.312 Å, I 32, hkl 1 1 4
- 2θ 44.0, 2.059 Å, I 31, hkl 1 1 6
- 2θ 49.6, 1.839 Å, I 36, hkl 2 0 0
- 2θ 55.9, 1.644 Å, I 20, hkl 1 0 11
- 2θ 57.7, 1.597 Å, I 34, hkl 2 1 3
- 2θ 60.8, 1.523 Å, I 21, hkl 2 1 5
- 2θ 62.5, 1.487 Å, I 32, hkl 2 0 8

Cell and atoms:
abc: 3.677 3.677 20.224
angles: 90.00 90.00 90.00
Space group I4/mmm (No. 139)
Unique sites:
1 Ce 0.000 0.000 0.000
2 Ce 0.000 0.000 0.371
3 Ni 0.000 0.500 0.250
4 B 0.000 0.000 0.199
5 C 0.000 0.000 0.124
6 C 0.000 0.000 0.500


(3)
# CePa2BC4
Computed powder X-ray diffraction pattern, λ = 1.5418 Å (Cu Kα). Input: DFT lattice parameters and positions (PBE).

Main lines, low angle first (2θ = 10–90°):
- 2θ 26.5, 3.358 Å, I 29, hkl 1 1 1
- 2θ 28.8, 3.102 Å, I 100, hkl 0 2 3
- 2θ 29.5, 3.024 Å, I 38, hkl 0 4 0
- 2θ 30.2, 2.959 Å, I 52, hkl 1 1 2
- 2θ 32.9, 2.723 Å, I 24, hkl 1 3 0
- 2θ 33.9, 2.641 Å, I 45, hkl 1 3 1
- 2θ 35.5, 2.526 Å, I 19, hkl 1 1 3
- 2θ 36.9, 2.433 Å, I 25, hkl 1 3 2
- 2θ 48.0, 1.896 Å, I 18, hkl 1 5 2
- 2θ 49.3, 1.847 Å, I 35, hkl 2 0 0
- 2θ 51.8, 1.766 Å, I 20, hkl 1 5 3
- 2θ 58.1, 1.586 Å, I 29, hkl 2 2 3

Cell and atoms:
abc: 3.692 12.095 10.842
angles: 90.00 90.00 90.00
Space group Cmcm (No. 63)
Unique sites:
1 Ce 0.000 0.093 0.250
2 Pa 0.000 0.371 0.068
3 B 0.000 0.234 0.750
4 C 0.000 0.000 0.000
5 C 0.000 0.264 0.620
6 C 0.000 0.466 0.250


(4)
# SiBH3CNCl3
Computed powder X-ray diffraction pattern, λ = 1.5418 Å (Cu Kα). Input: DFT lattice parameters and positions (PBE).

Main lines, low angle first (2θ = 10–90°):
- 2θ 14.6, 6.081 Å, I 58, hkl 0 1 2
- 2θ 16.5, 5.357 Å, I 100, hkl 2 1 1
- 2θ 17.6, 5.030 Å, I 21, hkl 2 0 2
- 2θ 20.3, 4.385 Å, I 95, hkl 1 2 2
- 2θ 22.5, 3.954 Å, I 57, hkl 1 1 3
- 2θ 27.6, 3.233 Å, I 31, hkl 1 0 4
- 2θ 28.5, 3.133 Å, I 68, hkl 2 3 2
- 2θ 29.9, 2.984 Å, I 37, hkl 3 3 0
- 2θ 31.3, 2.860 Å, I 22, hkl 2 4 1
- 2θ 33.4, 2.682 Å, I 35, hkl 4 1 3
- 2θ 44.7, 2.027 Å, I 20, hkl 0 3 6
- 2θ 49.0, 1.861 Å, I 22, hkl 8 0 2

Cell and atoms:
abc: 17.9014 17.9014 13.2207
angles: 90.00 90.00 120.00
Space group R3c (No. 161, hexagonal axes)
Unique sites:
1 Si 0.1313 0.4469 0.0000
2 B 0.0833 0.0035 0.4636
3 H 0.0060 0.1384 0.9630
4 H 0.0513 0.2212 0.4944
5 H 0.1729 0.4436 0.1716
6 C 0.1666 0.4927 0.1282
7 N 0.0034 0.0804 0.9639
8 Cl 0.0052 0.3585 0.6708
9 Cl 0.0853 0.2259 0.2431
10 Cl 0.2053 0.4287 0.4295


(5)
# CoBC
Computed powder X-ray diffraction pattern, λ = 1.5418 Å (Cu Kα). Input: DFT lattice parameters and positions (PBE).

Main lines, low angle first (2θ = 10–90°):
- 2θ 18.4, 4.822 Å, I 87, hkl 0 0 1
- 2θ 27.5, 3.243 Å, I 99, hkl 2 0 -1
- 2θ 33.9, 2.641 Å, I 56, hkl 2 0 1
- 2θ 35.9, 2.505 Å, I 78, hkl 1 1 0
- 2θ 40.3, 2.236 Å, I 49, hkl 2 0 -2
- 2θ 41.8, 2.159 Å, I 100, hkl 1 1 1
- 2θ 49.6, 1.836 Å, I 35, hkl 2 0 2
- 2θ 50.4, 1.811 Å, I 32, hkl 4 0 0
- 2θ 50.6, 1.804 Å, I 56, hkl 1 1 -2
- 2θ 51.0, 1.791 Å, I 34, hkl 3 1 0
- 2θ 51.6, 1.771 Å, I 59, hkl 3 1 -1
- 2θ 54.7, 1.677 Å, I 22, hkl 1 1 2

Cell and atoms:
abc: 7.410 2.669 4.932
angles: 90.00 102.16 90.00
Space group Cm (No. 8)
Unique sites:
1 Co 0.000 0.000 0.000
2 Co 0.249 0.000 0.716
3 B 0.120 0.500 0.354
4 B 0.214 0.500 0.034
5 C 0.014 0.000 0.405
6 C 0.343 0.500 0.495


(6)
# Nd4Fe4Co12B3C
Computed powder X-ray diffraction pattern, λ = 1.5418 Å (Cu Kα). Input: DFT lattice parameters and positions (PBE).

Main lines, low angle first (2θ = 10–90°):
- 2θ 20.0, 4.450 Å, I 12, hkl 1 0 0
- 2θ 33.3, 2.694 Å, I 86, hkl 1 0 4
- 2θ 34.9, 2.569 Å, I 32, hkl 1 1 0
- 2θ 40.5, 2.225 Å, I 82, hkl 2 0 0
- 2θ 44.3, 2.046 Å, I 100, hkl 1 1 4
- 2θ 61.6, 1.506 Å, I 29, hkl 2 1 4
- 2θ 66.1, 1.413 Å, I 14, hkl 1 1 8
- 2θ 69.1, 1.359 Å, I 25, hkl 3 0 4
- 2θ 69.8, 1.347 Å, I 17, hkl 2 0 8
- 2θ 73.8, 1.285 Å, I 23, hkl 2 2 0
- 2θ 83.3, 1.159 Å, I 12, hkl 3 1 4
- 2θ 87.4, 1.116 Å, I 13, hkl 3 0 8

Cell and atoms:
abc: 5.1381 5.1381 13.5407
angles: 90.00 90.00 120.00
Space group P-6m2 (No. 187)
Unique sites:
1 Nd 0.0000 0.0000 0.0000
2 Nd 0.0000 0.0000 0.2490
3 Nd 0.0000 0.0000 0.5000
4 Fe 0.3333 0.6667 0.2498
5 Fe 0.6667 0.3333 0.2474
6 Co 0.9997 0.4998 0.3940
7 Co 0.0049 0.5024 0.1008
8 B 0.3333 0.6667 0.5000
9 B 0.6667 0.3333 0.0000
10 B 0.6667 0.3333 0.5000
11 C 0.3333 0.6667 0.0000